Structure and theoretical powder diffraction line list of Li4SnS4 (a GGA-PBE-relaxed structure; CuKα).
Neutral-atom scattering factors, no anomalous dispersion.

Principal peaks in the range 2θ = 10–80°, in order of rising 2θ:
d (Å)  2θ/deg  I/Imax  (hkl)
5.429  16.3  20  0 0 2
5.296  16.7  100  1 0 1
4.289  20.7  26  1 1 0
3.366  26.5  54  1 1 2
3.108  28.7  19  1 0 3
2.648  33.9  17  2 0 2
2.632  34.1  24  2 1 1
2.171  41.6  24  2 1 3
2.145  42.1  18  2 2 0
2.023  44.8  31  2 0 4

Crystal structure
Unit cell a=6.0662 b=6.0662 c=10.8574 alpha=90.00 beta=90.00 gamma=90.00
Space group I-42m (No. 121)
One atom of each set of equivalent atoms:
Li1 0.0000 0.0000 0.2150 x4
Li2 0.0000 0.5000 0.0000 x4
Sn1 0.0000 0.0000 0.5000 x2
S1 0.2260 0.2260 0.6289 x8